Diffraction record for AcMn7O12. The X-ray powder pattern is calculated, not measured: it uses a cell relaxed with GGA+U and Cu Kα.

Top 8 peaks for 5 to 70 degrees two-theta, in order of falling intensity:
index	2θ (°)	d [Å]	intensity
2 2 0	33.9	2.644	100
4 2 2	60.7	1.527	47
1 1 0	16.8	5.289	41
4 0 0	48.7	1.870	25
3 1 2	45.4	1.999	23
2 1 1	29.2	3.053	21
3 0 1	38.0	2.365	21
4 3 1	63.4	1.467	10

Crystal structure
Cell: 7.4791 7.4791 7.4791 Å, 90.00 90.00 90.00°
Space group Im-3 (No. 204)
Inequivalent atoms, fractional coordinates:
Ac  0.0000  0.0000  0.0000 x2
Mn  0.0000  0.0000  0.5000 x6
Mn  0.2500  0.2500  0.2500 x8
O  0.0000  0.3123  0.1815 x24

Diffraction record for Ac2Mn3O8. The X-ray powder pattern is calculated, not measured: it uses a cell relaxed with GGA+U and Cu Kα.

Top 8 peaks for 5 to 70 degrees two-theta, in order of falling intensity:
index	2θ (°)	d [Å]	intensity
0 0 1	7.0	12.652	100
1 0 3	31.3	2.860	73
1 1 0	32.5	2.752	29
2 1 3	57.3	1.609	27
0 0 2	14.0	6.326	26
2 0 0	46.7	1.946	19
1 1 3	39.1	2.304	19
1 0 1	23.9	3.719	16

Crystal structure
Cell: 3.8914 3.8914 12.6517 Å, 90.00 90.00 90.00°
Space group P4/mmm (No. 123)
Inequivalent atoms, fractional coordinates:
Ac  0.0000  0.0000  0.1681 x2
Mn  0.5000  0.5000  0.0000 x1
Mn  0.5000  0.5000  0.3261 x2
O  0.0000  0.5000  0.0000 x2
O  0.0000  0.5000  0.3111 x4
O  0.5000  0.5000  0.1526 x2

Diffraction record for AcMnO6. The X-ray powder pattern is calculated, not measured: it uses a cell relaxed with GGA+U and Cu Kα.

Top 8 peaks for 5 to 70 degrees two-theta, in order of falling intensity:
index	2θ (°)	d [Å]	intensity
2 0 0	20.5	4.324	100
2 2 0	29.2	3.058	52
4 2 0	47.0	1.934	40
1 1 1	17.8	4.993	33
3 1 1	34.4	2.608	32
4 0 0	41.8	2.162	21
4 2 2	51.8	1.765	20
3 3 1	45.7	1.984	20

Crystal structure
Cell: 8.6489 8.6489 8.6489 Å, 90.00 90.00 90.00°
Space group Fm-3m (No. 225)
Inequivalent atoms, fractional coordinates:
Ac  0.0000  0.0000  0.0000 x4
Mn  0.0000  0.0000  0.5000 x4
O  0.0000  0.0000  0.2870 x24

Diffraction record for Ac2MnOsO8. The X-ray powder pattern is calculated, not measured: it uses a cell relaxed with GGA+U and Cu Kα.

Top 8 peaks for 5 to 70 degrees two-theta, in order of falling intensity:
index	2θ (°)	d [Å]	intensity
0 1 2	28.9	3.091	100
1 0 -1	23.9	3.726	94
0 1 -2	31.1	2.878	69
1 1 1	27.0	3.297	64
0 2 0	33.1	2.709	61
1 1 0	24.8	3.591	55
1 -1 1	30.4	2.943	49
1 -1 0	27.2	3.279	44

Crystal structure
Cell: 4.4396 5.4591 7.1564 Å, 85.44 88.51 84.59°
Space group P-1 (No. 2)
Inequivalent atoms, fractional coordinates:
Ac  0.1902  0.0103  0.2482 x2
Mn  0.5000  0.5000  0.0000 x1
Os  0.5000  0.5000  0.5000 x1
O  0.1940  0.7280  0.5618 x2
O  0.2872  0.8179  0.9467 x2
O  0.3055  0.2293  0.6204 x2
O  0.3107  0.4761  0.2523 x2